Calculated XRD peak list
Compound: Eu2CdSn
Radiation: copper Kα
Structure: a PBE-relaxed structure
Kinematic intensities with the Lorentz-polarization factor, no thermal factor.

Largest 9 diffraction maxima, in order of rising 2θ, 2θ = 10–90°:
2θ = 22.39°, intensity 2, (2 0 0); 2θ = 31.87°, intensity 100, (2 2 0); 2θ = 39.30°, intensity 1, (2 2 2); 2θ = 45.69°, intensity 18, (4 0 0); 2θ = 51.46°, intensity 1, (4 2 0); 2θ = 56.79°, intensity 38, (4 2 2); 2θ = 66.61°, intensity 12, (4 4 0); 2θ = 75.75°, intensity 17, (6 2 0); 2θ = 84.52°, intensity 4, (4 4 4)

Structure:
a = 7.9420 Å, b = 7.9420 Å, c = 7.9420 Å
α = 90.00°, β = 90.00°, γ = 90.00°
Space group Fm-3m (No. 225)
Inequivalent atoms, fractional coordinates:
Eu (0.2500, 0.2500, 0.2500)
Cd (0.0000, 0.0000, 0.0000)
Sn (0.0000, 0.0000, 0.5000)